LiBi3PbWClO8: simulated XRD peak list (CuKα), based on a cell relaxed with PBE+U.
Lines closer than 0.1° are merged.

Cell and atoms:
```
data_LiBi3PbWClO8
_cell_length_a 3.9855
_cell_length_b 3.9855
_cell_length_c 14.9267
_cell_angle_alpha 90.00
_cell_angle_beta 90.00
_cell_angle_gamma 90.00
_symmetry_space_group_name_H-M 'P 1'
_symmetry_Int_Tables_number 1
loop_
_symmetry_equiv_pos_as_xyz
'x,y,z'
loop_
_atom_site_label
_atom_site_fract_x
_atom_site_fract_y
_atom_site_fract_z
Li1 0.0000 0.0000 0.0000
Bi1 0.0000 0.0000 0.2101
Bi2 0.5000 0.5000 0.3738
Bi3 0.5000 0.5000 0.6382
Pb1 0.0000 0.0000 0.8041
W1 0.5000 0.5000 0.0201
Cl1 0.0000 0.0000 0.4927
O1 0.0000 0.5000 0.0259
O2 0.0000 0.5000 0.2994
O3 0.0000 0.5000 0.7085
O4 0.5000 0.0000 0.0259
O5 0.5000 0.0000 0.2994
O6 0.5000 0.0000 0.7085
O7 0.5000 0.5000 0.1557
O8 0.5000 0.5000 0.8943
```

Top 6 peaks for 10 to 90 degrees two-theta, low angle first:
- (1 0 2), d = 3.516 Å, rel. 38
- (1 0 3), d = 3.111 Å, rel. 100
- (1 1 0), d = 2.818 Å, rel. 54
- (1 1 5), d = 2.049 Å, rel. 29
- (2 0 0), d = 1.993 Å, rel. 29
- (2 1 3), d = 1.678 Å, rel. 34